1.
SrEuIn2: calculated X-ray diffraction stick pattern (Cu Kα X-rays), based on DFT lattice parameters and positions (GGA-PBE).

Crystal structure
```
SrEuIn2
1.0
0.000 3.984 3.984
3.984 0.000 3.984
3.984 3.984 0.000
Sr Eu In
1 1 2
Direct
0.000 0.000 0.000
0.500 0.500 0.500
0.250 0.250 0.250
0.750 0.750 0.750
```

Principal peaks in the range 5° ≤ 2θ ≤ 70°, in order of rising 2θ:
19.29 deg, I = 4
31.77 deg, I = 100
37.43 deg, I = 2
45.54 deg, I = 18
49.89 deg, I = 1
56.59 deg, I = 38
60.37 deg, I = 1
66.37 deg, I = 12
69.84 deg, I = 1

=====

2.
Eu4Ir: calculated X-ray diffraction stick pattern (Cu Kα X-rays), based on DFT lattice parameters and positions (GGA-PBE).

Crystal structure
```
Eu4Ir
1.0
-4.581 4.581 4.221
4.581 -4.581 4.221
4.581 4.581 -4.221
Eu Ir
8 2
Direct
0.195 0.251 0.555
0.195 0.640 0.945
0.251 0.195 0.055
0.360 0.805 0.555
0.640 0.195 0.445
0.749 0.805 0.945
0.805 0.360 0.055
0.805 0.749 0.445
0.125 0.875 0.250
0.875 0.125 0.750
```

Principal peaks in the range 5° ≤ 2θ ≤ 70°, in order of rising 2θ:
14.27 deg, I = 51
19.38 deg, I = 46
27.54 deg, I = 23
28.76 deg, I = 90
31.14 deg, I = 100
33.31 deg, I = 72
36.94 deg, I = 49
37.66 deg, I = 43
39.34 deg, I = 34
47.28 deg, I = 37
51.00 deg, I = 35
53.73 deg, I = 24

=====

3.
LiEu2Ir: calculated X-ray diffraction stick pattern (Cu Kα X-rays), based on DFT lattice parameters and positions (GGA-PBE).

Crystal structure
```
LiEu2Ir
1.0
0.000 3.608 3.608
3.608 0.000 3.608
3.608 3.608 0.000
Li Eu Ir
1 2 1
Direct
0.000 0.000 0.000
0.250 0.250 0.250
0.750 0.750 0.750
0.500 0.500 0.500
```

Principal peaks in the range 5° ≤ 2θ ≤ 70°, in order of rising 2θ:
21.33 deg, I = 31
24.68 deg, I = 6
35.18 deg, I = 100
41.51 deg, I = 17
43.45 deg, I = 2
50.60 deg, I = 18
55.52 deg, I = 7
57.09 deg, I = 2
63.13 deg, I = 37
67.45 deg, I = 6

=====

4.
LiEu2IrO6: calculated X-ray diffraction stick pattern (Cu Kα X-rays), based on DFT lattice parameters and positions (GGA-PBE).

Crystal structure
```
LiEu2IrO6
1.0
5.462 0.000 0.000
0.000 5.822 0.000
-5.385 0.000 7.724
Li Eu Ir O
2 4 2 12
Direct
0.000 0.000 0.000
0.000 0.500 0.500
0.233 0.071 0.749
0.233 0.429 0.249
0.767 0.571 0.751
0.767 0.929 0.251
0.500 0.000 0.500
0.500 0.500 0.000
0.157 0.183 0.454
0.157 0.317 0.954
0.270 0.713 0.447
0.270 0.787 0.947
0.352 0.032 0.256
0.352 0.468 0.756
0.648 0.532 0.244
0.648 0.968 0.744
0.730 0.213 0.053
0.730 0.287 0.553
0.843 0.683 0.046
0.843 0.817 0.546
```

Principal peaks in the range 5° ≤ 2θ ≤ 70°, in order of rising 2θ:
19.09 deg, I = 71
20.01 deg, I = 40
30.71 deg, I = 40
32.17 deg, I = 100
32.41 deg, I = 100
32.82 deg, I = 76
38.12 deg, I = 24
45.55 deg, I = 37
47.07 deg, I = 50
51.34 deg, I = 28
58.00 deg, I = 23
58.44 deg, I = 26